Cr2CdPO6: simulated powder diffractogram (a wavelength of 1.5418 Å), based on DFT lattice parameters and positions (GGA+U).
Lines closer than 0.1° are merged.

Most intense lines, 5° ≤ 2θ ≤ 70°, sorted by position:
2θ (°), I_rel, hkl
17.3, 47, 0 0 1
24.6, 27, 1 0 1
30.2, 100, 1 1 1
35.0, 31, 2 0 0
39.4, 18, 1 0 2
50.3, 23, 2 2 0
50.4, 23, 2 0 2
59.8, 25, 3 1 1

Atomic structure:
```
data_Cr2CdPO6
_chemical_formula_sum 'Cr2 Cd1 P1 O6'
_cell_length_a 5.129
_cell_length_b 5.129
_cell_length_c 5.105
_cell_angle_alpha 90.00
_cell_angle_beta 90.00
_cell_angle_gamma 90.00
_space_group_name_H-M_alt 'P 4 m m'
_space_group_IT_number 99
_space_group_name_Hall 'P 4 -2'
loop_
_atom_site_label
_atom_site_type_symbol
_atom_site_fract_x
_atom_site_fract_y
_atom_site_fract_z
Cr1 Cr 0.000 0.500 0.000
Cd1 Cd 0.000 0.000 0.577
P1 P 0.500 0.500 0.710
O1 O 0.000 0.000 0.174
O2 O 0.278 0.278 0.821
O3 O 0.500 0.500 0.413
```